# 1
Diffraction record for Ag. The X-ray diffraction stick pattern is computed, not measured: it uses a crystal structure in OQMD, relaxed with GGA-PBE and a wavelength of 1.5418 Å.
Neutral-atom scattering factors, no anomalous dispersion.

Largest 10 diffraction maxima, in order of rising 2θ, 2θ = 15–90°:
2θ = 37.0°, intensity 36; 2θ = 38.0°, intensity 100; 2θ = 43.9°, intensity 66; 2θ = 63.1°, intensity 21; 2θ = 64.5°, intensity 20; 2θ = 75.4°, intensity 12; 2θ = 76.7°, intensity 23; 2θ = 77.3°, intensity 11; 2θ = 78.7°, intensity 4; 2θ = 81.2°, intensity 10

a b c (Å): 9.8662 9.8662 9.8662
angles (deg): 16.85 16.85 16.85
Fractional positions:
Ag (0.1252, 0.1252, 0.1252)
Ag (0.3750, 0.3750, 0.3750)
Ag (0.6250, 0.6250, 0.6250)
Ag (0.8748, 0.8748, 0.8748)

# 2
Diffraction record for Tc2HgPd. The X-ray diffraction stick pattern is computed, not measured: it uses a crystal structure in OQMD, relaxed with GGA-PBE and a wavelength of 1.5418 Å.
Neutral-atom scattering factors, no anomalous dispersion.

Largest 10 diffraction maxima, in order of rising 2θ, 2θ = 15–90°:
2θ = 24.1°, intensity 9; 2θ = 27.9°, intensity 4; 2θ = 39.8°, intensity 100; 2θ = 47.1°, intensity 5; 2θ = 57.6°, intensity 17; 2θ = 63.3°, intensity 2; 2θ = 65.2°, intensity 2; 2θ = 72.3°, intensity 34; 2θ = 77.5°, intensity 2; 2θ = 85.9°, intensity 11

a b c (Å): 4.5276 4.5276 4.5276
angles (deg): 60.00 60.00 60.00
Fractional positions:
Tc (0.0000, 0.0000, 0.0000)
Tc (0.2500, 0.2500, 0.2500)
Hg (0.7500, 0.7500, 0.7500)
Pd (0.5000, 0.5000, 0.5000)

# 3
Diffraction record for Sm2Er2CICl4. The X-ray diffraction stick pattern is computed, not measured: it uses a crystal structure in OQMD, relaxed with GGA-PBE and a wavelength of 1.5418 Å.
Neutral-atom scattering factors, no anomalous dispersion.

Largest 10 diffraction maxima, in order of rising 2θ, 2θ = 15–90°:
2θ = 16.7°, intensity 21; 2θ = 21.5°, intensity 26; 2θ = 28.8°, intensity 28; 2θ = 31.0°, intensity 100; 2θ = 31.6°, intensity 37; 2θ = 32.5°, intensity 40; 2θ = 35.4°, intensity 19; 2θ = 38.8°, intensity 22; 2θ = 45.4°, intensity 24; 2θ = 45.7°, intensity 24

a b c (Å): 8.7369 8.7369 8.7407
angles (deg): 103.97 103.97 25.46
Fractional positions:
Sm (0.0004, 0.0004, 0.1945)
Sm (0.9996, 0.9996, 0.8055)
Er (0.3568, 0.3568, 0.9288)
Er (0.6432, 0.6432, 0.0712)
C (0.5000, 0.5000, 0.0000)
I (0.5000, 0.5000, 0.5000)
Cl (0.1720, 0.1720, 0.2929)
Cl (0.1737, 0.1737, 0.8706)
Cl (0.8263, 0.8263, 0.1294)
Cl (0.8280, 0.8280, 0.7071)

# 4
Diffraction record for NaTmF3. The X-ray diffraction stick pattern is computed, not measured: it uses a crystal structure in OQMD, relaxed with GGA-PBE and a wavelength of 1.5418 Å.
Neutral-atom scattering factors, no anomalous dispersion.

Largest 10 diffraction maxima, in order of rising 2θ, 2θ = 15–90°:
2θ = 21.4°, intensity 88; 2θ = 23.5°, intensity 48; 2θ = 29.3°, intensity 32; 2θ = 31.7°, intensity 23; 2θ = 32.0°, intensity 100; 2θ = 39.8°, intensity 19; 2θ = 43.7°, intensity 26; 2θ = 50.2°, intensity 24; 2θ = 53.7°, intensity 33; 2θ = 56.6°, intensity 31

a b c (Å): 6.1019 7.5587 5.6519
angles (deg): 90.00 90.00 90.00
Fractional positions:
Na (0.0433, 0.2500, 0.0250)
Na (0.4567, 0.7500, 0.5250)
Na (0.5433, 0.2500, 0.4750)
Na (0.9567, 0.7500, 0.9750)
Tm (0.0000, 0.0000, 0.5000)
Tm (0.0000, 0.5000, 0.5000)
Tm (0.5000, 0.0000, 0.0000)
Tm (0.5000, 0.5000, 0.0000)
F (0.1002, 0.7500, 0.3204)
F (0.1675, 0.5186, 0.8440)
F (0.1675, 0.9814, 0.8440)
F (0.3325, 0.0186, 0.3440)
F (0.3325, 0.4814, 0.3440)
F (0.3998, 0.2500, 0.8204)
F (0.6002, 0.7500, 0.1796)
F (0.6675, 0.5186, 0.6560)
F (0.6675, 0.9814, 0.6560)
F (0.8325, 0.0186, 0.1560)
F (0.8325, 0.4814, 0.1560)
F (0.8998, 0.2500, 0.6796)

# 5
Diffraction record for AgI. The X-ray diffraction stick pattern is computed, not measured: it uses a crystal structure in OQMD, relaxed with GGA-PBE and a wavelength of 1.5418 Å.
Neutral-atom scattering factors, no anomalous dispersion.

Largest 10 diffraction maxima, in order of rising 2θ, 2θ = 15–90°:
2θ = 22.8°, intensity 37; 2θ = 23.1°, intensity 60; 2θ = 24.2°, intensity 30; 2θ = 33.3°, intensity 89; 2θ = 40.0°, intensity 100; 2θ = 43.2°, intensity 69; 2θ = 53.0°, intensity 23; 2θ = 60.4°, intensity 25; 2θ = 74.9°, intensity 26; 2θ = 76.8°, intensity 22

a b c (Å): 4.5069 4.5069 22.3125
angles (deg): 90.00 90.00 120.00
Fractional positions:
Ag (0.0000, 0.0000, 0.0000)
Ag (0.0000, 0.0000, 0.3331)
Ag (0.0000, 0.0000, 0.6661)
Ag (0.3333, 0.6667, 0.5930)
Ag (0.3333, 0.6667, 0.9271)
Ag (0.6667, 0.3333, 0.2600)
I (0.0000, 0.0000, 0.2033)
I (0.0000, 0.0000, 0.5363)
I (0.0000, 0.0000, 0.8702)
I (0.3333, 0.6667, 0.0570)
I (0.3333, 0.6667, 0.7229)
I (0.6667, 0.3333, 0.3900)

# 6
Diffraction record for Dy2Y3Er2Ni2Te2. The X-ray diffraction stick pattern is computed, not measured: it uses a crystal structure in OQMD, relaxed with GGA-PBE and a wavelength of 1.5418 Å.
Neutral-atom scattering factors, no anomalous dispersion.

Largest 10 diffraction maxima, in order of rising 2θ, 2θ = 15–90°:
2θ = 25.0°, intensity 34; 2θ = 30.2°, intensity 23; 2θ = 30.4°, intensity 41; 2θ = 33.0°, intensity 79; 2θ = 34.1°, intensity 100; 2θ = 34.6°, intensity 94; 2θ = 38.5°, intensity 23; 2θ = 39.5°, intensity 17; 2θ = 47.3°, intensity 30; 2θ = 58.9°, intensity 37

a b c (Å): 9.3324 9.3324 9.3324
angles (deg): 156.24 66.91 118.49
Fractional positions:
Dy (0.1846, 0.0000, 0.1846)
Dy (0.8154, 0.0000, 0.8154)
Y (0.5022, 0.6486, 0.8536)
Y (0.7949, 0.6486, 0.1464)
Y (0.8807, 0.3807, 0.5000)
Er (0.1666, 0.7984, 0.3682)
Er (0.4301, 0.7984, 0.6318)
Ni (0.0475, 0.3087, 0.7388)
Ni (0.5699, 0.3087, 0.2612)
Te (0.1452, 0.1452, 0.0000)
Te (0.5441, 0.0441, 0.5000)

# 7
Diffraction record for Sr2TaIrN4O2. The X-ray diffraction stick pattern is computed, not measured: it uses a crystal structure in OQMD, relaxed with GGA-PBE and a wavelength of 1.5418 Å.
Neutral-atom scattering factors, no anomalous dispersion.

Largest 10 diffraction maxima, in order of rising 2θ, 2θ = 15–90°:
2θ = 31.6°, intensity 66; 2θ = 31.7°, intensity 100; 2θ = 31.8°, intensity 34; 2θ = 45.1°, intensity 18; 2θ = 45.4°, intensity 18; 2θ = 45.6°, intensity 18; 2θ = 56.1°, intensity 20; 2θ = 56.3°, intensity 20; 2θ = 56.5°, intensity 20; 2θ = 66.1°, intensity 16

a b c (Å): 5.6266 5.6454 8.0457
angles (deg): 89.92 89.87 89.74
Fractional positions:
Sr (0.0000, 0.0000, 0.0000)
Sr (0.0051, 0.9936, 0.4977)
Sr (0.4878, 0.5094, 0.9992)
Sr (0.4953, 0.5119, 0.4950)
Ta (0.5030, 0.0108, 0.7433)
Ta (0.9965, 0.5018, 0.2560)
Ir (0.4982, 0.0051, 0.2261)
Ir (0.9851, 0.4925, 0.7567)
N (0.2470, 0.2748, 0.7374)
N (0.2479, 0.7575, 0.2388)
N (0.2512, 0.2495, 0.2606)
N (0.4977, 0.0238, 0.9969)
N (0.7410, 0.2434, 0.2633)
N (0.7414, 0.7536, 0.2354)
N (0.7477, 0.7379, 0.7615)
N (0.7550, 0.2481, 0.7405)
O (0.2347, 0.7681, 0.7689)
O (0.4894, 0.9672, 0.4990)
O (0.9934, 0.4687, 0.0019)
O (0.9934, 0.5345, 0.5041)

# 8
Diffraction record for KPrBiSe3. The X-ray diffraction stick pattern is computed, not measured: it uses a crystal structure in OQMD, relaxed with GGA-PBE and a wavelength of 1.5418 Å.
Neutral-atom scattering factors, no anomalous dispersion.

Largest 10 diffraction maxima, in order of rising 2θ, 2θ = 15–90°:
2θ = 26.0°, intensity 29; 2θ = 27.3°, intensity 64; 2θ = 30.5°, intensity 100; 2θ = 31.4°, intensity 42; 2θ = 33.4°, intensity 22; 2θ = 35.4°, intensity 20; 2θ = 38.1°, intensity 46; 2θ = 40.7°, intensity 26; 2θ = 48.0°, intensity 20; 2θ = 67.7°, intensity 22

a b c (Å): 8.3130 8.3130 11.4012
angles (deg): 90.00 90.00 149.03
Fractional positions:
K (0.2492, 0.7508, 0.7500)
K (0.7508, 0.2492, 0.2500)
Pr (0.0000, 0.0000, 0.0000)
Pr (0.0000, 0.0000, 0.5000)
Bi (0.4618, 0.5382, 0.2500)
Bi (0.5382, 0.4618, 0.7500)
Se (0.0948, 0.9052, 0.2500)
Se (0.3723, 0.6277, 0.0374)
Se (0.3723, 0.6277, 0.4626)
Se (0.6277, 0.3723, 0.5374)
Se (0.6277, 0.3723, 0.9626)
Se (0.9052, 0.0948, 0.7500)

# 9
Diffraction record for ZrGaOs2. The X-ray diffraction stick pattern is computed, not measured: it uses a crystal structure in OQMD, relaxed with GGA-PBE and a wavelength of 1.5418 Å.
Neutral-atom scattering factors, no anomalous dispersion.

Largest 8 diffraction maxima, in order of rising 2θ, 2θ = 15–90°:
2θ = 24.2°, intensity 18; 2θ = 40.0°, intensity 100; 2θ = 47.2°, intensity 9; 2θ = 57.8°, intensity 17; 2θ = 63.5°, intensity 4; 2θ = 72.6°, intensity 34; 2θ = 77.8°, intensity 3; 2θ = 86.2°, intensity 11

a b c (Å): 4.5131 4.5131 4.5131
angles (deg): 60.00 60.00 60.00
Fractional positions:
Zr (0.0000, 0.0000, 0.0000)
Ga (0.7500, 0.7500, 0.7500)
Os (0.2500, 0.2500, 0.2500)
Os (0.5000, 0.5000, 0.5000)

# 10
Diffraction record for Hf3B2Ir5. The X-ray diffraction stick pattern is computed, not measured: it uses a crystal structure in OQMD, relaxed with GGA-PBE and a wavelength of 1.5418 Å.
Neutral-atom scattering factors, no anomalous dispersion.

Largest 10 diffraction maxima, in order of rising 2θ, 2θ = 15–90°:
2θ = 34.1°, intensity 74; 2θ = 38.2°, intensity 36; 2θ = 40.1°, intensity 65; 2θ = 40.7°, intensity 100; 2θ = 43.6°, intensity 39; 2θ = 44.2°, intensity 33; 2θ = 54.1°, intensity 25; 2θ = 69.4°, intensity 26; 2θ = 71.9°, intensity 26; 2θ = 78.1°, intensity 22

a b c (Å): 9.2777 9.2777 3.3909
angles (deg): 90.00 90.00 90.00
Fractional positions:
Hf (0.0000, 0.0000, 0.0000)
Hf (0.1758, 0.3242, 0.0000)
Hf (0.3242, 0.8242, 0.0000)
Hf (0.5000, 0.5000, 0.0000)
Hf (0.6758, 0.1758, 0.0000)
Hf (0.8242, 0.6758, 0.0000)
B (0.1192, 0.6192, 0.0000)
B (0.3808, 0.1192, 0.0000)
B (0.6192, 0.8808, 0.0000)
B (0.8808, 0.3808, 0.0000)
Ir (0.0000, 0.5000, 0.5000)
Ir (0.0730, 0.7804, 0.5000)
Ir (0.2196, 0.0730, 0.5000)
Ir (0.2804, 0.5730, 0.5000)
Ir (0.4270, 0.2804, 0.5000)
Ir (0.5000, 0.0000, 0.5000)
Ir (0.5730, 0.7196, 0.5000)
Ir (0.7196, 0.4270, 0.5000)
Ir (0.7804, 0.9270, 0.5000)
Ir (0.9270, 0.2196, 0.5000)